Record 1
Computed powder diffraction line list
Compound: K3Ca2PuO6
Radiation: Cu Kα (weighted mean of Kα1 and Kα2)
Structure: a GGA-PBE-relaxed structure
Kinematic intensities with the Lorentz-polarization factor, no thermal factor.

Main lines, by angle (10 to 80 degrees two-theta):
d/Å	two_theta	I (rel.)
6.216	14.25	592
5.240	16.92	281
5.044	17.58	522
4.570	19.42	421
4.006	22.19	303
3.108	28.72	285
2.878	31.08	614
2.538	35.37	1000
1.847	49.35	319
1.747	52.36	369

Structural model:
abc: 6.0509 6.0509 6.5370
angles: 98.90 98.90 119.99
Fractional coordinates of all 12 atoms:
K 0.0000 0.0000 0.0000
K 0.3294 0.6706 0.0000
K 0.6706 0.3294 0.0000
Ca 0.1666 0.8334 0.5000
Ca 0.8334 0.1666 0.5000
Pu 0.5000 0.5000 0.5000
O 0.1331 0.4371 0.3117
O 0.2601 0.2601 0.6879
O 0.4371 0.1331 0.3117
O 0.5629 0.8669 0.6883
O 0.7399 0.7399 0.3121
O 0.8669 0.5629 0.6883

Record 2
Computed powder diffraction line list
Compound: K3CaRe2O8
Radiation: Cu Kα (weighted mean of Kα1 and Kα2)
Structure: a GGA-PBE-relaxed structure
Kinematic intensities with the Lorentz-polarization factor, no thermal factor.

Main lines, by angle (10 to 80 degrees two-theta):
d/Å	two_theta	I (rel.)
5.296	16.74	205
4.380	20.27	1000
3.896	22.82	166
3.138	28.44	481
3.058	29.21	745
2.405	37.39	148
2.332	38.61	212
2.190	41.22	287
1.939	46.86	218
1.780	51.32	180

Structural model:
abc: 6.1151 6.1151 7.7928
angles: 90.00 90.00 120.00
Fractional coordinates of all 14 atoms:
K 0.0000 0.0000 0.0000
K 0.3333 0.6667 0.6587
K 0.6667 0.3333 0.3413
Ca 0.0000 0.0000 0.5000
Re 0.3333 0.6667 0.2174
Re 0.6667 0.3333 0.7826
O 0.1746 0.3493 0.3160
O 0.1746 0.8254 0.3160
O 0.3333 0.6667 0.9877
O 0.3493 0.1746 0.6840
O 0.6507 0.8254 0.3160
O 0.6667 0.3333 0.0123
O 0.8254 0.1746 0.6840
O 0.8254 0.6507 0.6840

Record 3
Computed powder diffraction line list
Compound: K2CaRuO6
Radiation: Cu Kα (weighted mean of Kα1 and Kα2)
Structure: a GGA-PBE-relaxed structure
Kinematic intensities with the Lorentz-polarization factor, no thermal factor.

Main lines, by angle (10 to 80 degrees two-theta):
d/Å	two_theta	I (rel.)
5.848	15.15	518
5.331	16.63	1000
3.940	22.57	126
3.078	29.01	505
2.724	32.88	221
2.564	35.00	251
2.425	37.06	189
2.120	42.65	247
1.970	46.08	291
1.659	55.37	192

Structural model:
abc: 6.1558 6.1558 5.8483
angles: 90.00 90.00 120.00
Fractional coordinates of all 10 atoms:
K 0.3333 0.6667 0.3814
K 0.6667 0.3333 0.6186
Ca 0.0000 0.0000 0.0000
Ru 0.0000 0.0000 0.5000
O 0.1422 0.2844 0.6930
O 0.1422 0.8578 0.6930
O 0.2844 0.1422 0.3070
O 0.7156 0.8578 0.6930
O 0.8578 0.1422 0.3070
O 0.8578 0.7156 0.3070

Record 4
Computed powder diffraction line list
Compound: K4CaSb3O12
Radiation: Cu Kα (weighted mean of Kα1 and Kα2)
Structure: a GGA-PBE-relaxed structure
Kinematic intensities with the Lorentz-polarization factor, no thermal factor.

Main lines, by angle (10 to 80 degrees two-theta):
d/Å	two_theta	I (rel.)
5.907	15.00	159
4.177	21.27	461
3.410	26.13	85
2.953	30.26	1000
2.088	43.33	403
1.868	48.75	192
1.705	53.76	375
1.477	62.94	230
1.392	67.25	88
1.321	71.42	165

Structural model:
abc: 7.2341 7.2341 7.2341
angles: 109.47 109.47 109.47
Fractional coordinates of all 20 atoms:
K 0.0000 0.0000 0.5000
K 0.0000 0.5000 0.0000
K 0.5000 0.0000 0.0000
K 0.5000 0.5000 0.5000
Ca 0.0000 0.0000 0.0000
Sb 0.0000 0.5000 0.5000
Sb 0.5000 0.0000 0.5000
Sb 0.5000 0.5000 0.0000
O 0.0000 0.2716 0.2716
O 0.0000 0.7284 0.7284
O 0.2500 0.5000 0.7500
O 0.2500 0.7500 0.5000
O 0.2716 0.0000 0.2716
O 0.2716 0.2716 0.0000
O 0.5000 0.2500 0.7500
O 0.5000 0.7500 0.2500
O 0.7284 0.0000 0.7284
O 0.7284 0.7284 0.0000
O 0.7500 0.2500 0.5000
O 0.7500 0.5000 0.2500

Record 5
Computed powder diffraction line list
Compound: K2Ca2SbO6
Radiation: Cu Kα (weighted mean of Kα1 and Kα2)
Structure: a GGA-PBE-relaxed structure
Kinematic intensities with the Lorentz-polarization factor, no thermal factor.

Main lines, by angle (10 to 80 degrees two-theta):
d/Å	two_theta	I (rel.)
6.290	14.08	1000
4.942	17.95	690
3.948	22.52	391
3.145	28.38	318
2.829	31.62	185
2.813	31.82	351
2.535	35.41	441
2.488	36.11	843
1.846	49.37	241
1.713	53.51	303

Structural model:
abc: 5.8812 5.8812 6.6233
angles: 99.13 99.13 119.13
Fractional coordinates of all 11 atoms:
K 0.1688 0.8312 0.0000
K 0.8312 0.1688 0.0000
Ca 0.3387 0.6613 0.5000
Ca 0.6613 0.3387 0.5000
Sb 0.0000 0.0000 0.5000
O 0.0522 0.3489 0.6754
O 0.2236 0.2236 0.3244
O 0.3489 0.0522 0.6754
O 0.6511 0.9478 0.3246
O 0.7764 0.7764 0.6756
O 0.9478 0.6511 0.3246

Record 6
Computed powder diffraction line list
Compound: KCaTbSbO6
Radiation: Cu Kα (weighted mean of Kα1 and Kα2)
Structure: a GGA-PBE-relaxed structure
Kinematic intensities with the Lorentz-polarization factor, no thermal factor.

Main lines, by angle (10 to 80 degrees two-theta):
d/Å	two_theta	I (rel.)
4.214	21.08	582
2.980	29.99	1000
2.433	36.95	35
2.107	42.93	351
1.884	48.30	255
1.720	53.25	392
1.490	62.33	209
1.405	66.58	120
1.333	70.70	172
1.216	78.66	67

Structural model:
abc: 5.9591 5.9591 5.9591
angles: 60.00 60.00 60.00
Fractional coordinates of all 10 atoms:
K 0.0000 0.0000 0.0000
Ca 0.5000 0.5000 0.5000
Tb 0.2500 0.2500 0.2500
Sb 0.7500 0.7500 0.7500
O 0.5140 0.5140 0.9860
O 0.5140 0.9860 0.5140
O 0.5140 0.9860 0.9860
O 0.9860 0.5140 0.5140
O 0.9860 0.5140 0.9860
O 0.9860 0.9860 0.5140

Record 7
Computed powder diffraction line list
Compound: K2Ca4USi4O16
Radiation: Cu Kα (weighted mean of Kα1 and Kα2)
Structure: a GGA-PBE-relaxed structure
Kinematic intensities with the Lorentz-polarization factor, no thermal factor.

Main lines, by angle (10 to 80 degrees two-theta):
d/Å	two_theta	I (rel.)
6.160	14.38	1000
5.523	16.05	647
4.949	17.92	603
4.801	18.48	856
3.689	24.13	486
3.326	26.80	595
3.251	27.44	447
3.207	27.82	452
3.075	29.04	527
2.721	32.92	555

Structural model:
abc: 6.7252 6.7601 9.8070
angles: 98.50 93.42 112.25
Fractional coordinates of all 27 atoms:
K 0.1734 0.3194 0.0396
K 0.8266 0.6806 0.9604
Ca 0.2413 0.4828 0.4266
Ca 0.2748 0.0307 0.6124
Ca 0.7252 0.9693 0.3876
Ca 0.7587 0.5172 0.5734
U 0.5000 0.0000 0.0000
Si 0.1739 0.9136 0.2871
Si 0.2533 0.5227 0.7339
Si 0.7467 0.4773 0.2661
Si 0.8261 0.0864 0.7129
O 0.0567 0.3022 0.7646
O 0.1229 0.1018 0.3846
O 0.1471 0.6445 0.6374
O 0.2442 0.9755 0.1356
O 0.3382 0.8439 0.3794
O 0.3418 0.0740 0.8647
O 0.3584 0.6548 0.8928
O 0.4147 0.4429 0.6431
O 0.5853 0.5571 0.3569
O 0.6416 0.3452 0.1072
O 0.6582 0.9260 0.1353
O 0.6618 0.1561 0.6206
O 0.7558 0.0245 0.8644
O 0.8529 0.3555 0.3626
O 0.8771 0.8982 0.6154
O 0.9433 0.6978 0.2354

Record 8
Computed powder diffraction line list
Compound: KCa2Ta3O10
Radiation: Cu Kα (weighted mean of Kα1 and Kα2)
Structure: a GGA-PBE-relaxed structure
Kinematic intensities with the Lorentz-polarization factor, no thermal factor.

Main lines, by angle (10 to 80 degrees two-theta):
d/Å	two_theta	I (rel.)
7.597	11.65	379
5.065	17.51	437
3.941	22.56	703
3.914	22.72	832
3.800	23.41	592
3.110	28.70	797
2.921	30.61	963
2.777	32.23	1000
2.735	32.75	387
1.972	46.03	616

Structural model:
abc: 3.9406 15.3226 15.3226
angles: 14.80 90.00 90.00
Fractional coordinates of all 16 atoms:
K 0.0000 0.0000 0.0000
Ca 0.0000 0.1640 0.1640
Ca 0.0000 0.3152 0.3152
Ta 0.5000 0.5981 0.5981
Ta 0.5000 0.7382 0.7382
Ta 0.5000 0.8798 0.8798
O 0.0000 0.6111 0.6111
O 0.0000 0.7371 0.7371
O 0.0000 0.8654 0.8654
O 0.5000 0.1111 0.1111
O 0.5000 0.2370 0.2370
O 0.5000 0.3652 0.3652
O 0.5000 0.5386 0.5386
O 0.5000 0.6729 0.6729
O 0.5000 0.8026 0.8026
O 0.5000 0.9386 0.9386

Record 9
Computed powder diffraction line list
Compound: KCaTc2O8
Radiation: Cu Kα (weighted mean of Kα1 and Kα2)
Structure: a GGA-PBE-relaxed structure
Kinematic intensities with the Lorentz-polarization factor, no thermal factor.

Main lines, by angle (10 to 80 degrees two-theta):
d/Å	two_theta	I (rel.)
4.302	20.64	1000
3.079	29.00	237
3.007	29.71	373
2.287	39.40	134
2.151	42.00	171
1.906	47.70	222
1.749	52.29	80
1.612	57.15	104
1.557	59.35	75
1.503	61.70	80

Structural model:
abc: 6.0131 6.0131 7.6365
angles: 90.00 90.00 120.00
Fractional coordinates of all 12 atoms:
K 0.0000 0.0000 0.0000
Ca 0.0000 0.0000 0.5000
Tc 0.3333 0.6667 0.7709
Tc 0.6667 0.3333 0.2291
O 0.1726 0.3452 0.6956
O 0.1726 0.8274 0.6956
O 0.3333 0.6667 0.9989
O 0.3452 0.1726 0.3044
O 0.6548 0.8274 0.6956
O 0.6667 0.3333 0.0011
O 0.8274 0.1726 0.3044
O 0.8274 0.6548 0.3044